(1)
Starting from a cell relaxed with PBE, the X-ray powder pattern of KNa2AlW was simulated for Cu Kα.
Kinematic intensities with the Lorentz-polarization factor, no thermal factor.

Cell and atoms:
```
data_KNa2AlW
_space_group_name_H-M_alt 'P 4/m m m'
_space_group_IT_number 123
_space_group_name_Hall '-P 4 2'
_cell_length_a 4.7848
_cell_length_b 4.7848
_cell_length_c 5.4048
_cell_angle_alpha 90.00
_cell_angle_beta 90.00
_cell_angle_gamma 90.00
loop_
_atom_site_label
_atom_site_type_symbol
_atom_site_fract_x
_atom_site_fract_y
_atom_site_fract_z
K1 K 0.0000 0.0000 0.0000
Na1 Na 0.0000 0.5000 0.0000
Al1 Al 0.5000 0.5000 0.5000
W1 W 0.0000 0.0000 0.5000
```

Top 12 peaks for 5° ≤ 2θ ≤ 70°, low angle first:
d = 5.405 Å, 2θ 16.4, I 23, hkl 0 0 1
d = 4.785 Å, 2θ 18.5, I 100, hkl 1 0 0
d = 3.583 Å, 2θ 24.9, I 32, hkl 1 0 1
d = 3.383 Å, 2θ 26.3, I 46, hkl 1 1 0
d = 2.868 Å, 2θ 31.2, I 69, hkl 1 1 1
d = 2.702 Å, 2θ 33.2, I 28, hkl 0 0 2
d = 2.392 Å, 2θ 37.6, I 40, hkl 2 0 0
d = 2.353 Å, 2θ 38.2, I 32, hkl 1 0 2
d = 2.140 Å, 2θ 42.2, I 24, hkl 2 1 0
d = 2.112 Å, 2θ 42.8, I 25, hkl 1 1 2
d = 1.791 Å, 2θ 51.0, I 32, hkl 2 0 2
d = 1.678 Å, 2θ 54.7, I 23, hkl 2 1 2

=====

(2)
Starting from a cell relaxed with PBE, the X-ray powder pattern of KNbAlO4 was simulated for Cu Kα.
Kinematic intensities with the Lorentz-polarization factor, no thermal factor.

Cell and atoms:
```
data_KNbAlO4
_space_group_name_H-M_alt 'F -4 3 m'
_space_group_IT_number 216
_space_group_name_Hall 'F -4 2 3'
_cell_length_a 8.5036
_cell_length_b 8.5036
_cell_length_c 8.5036
_cell_angle_alpha 90.00
_cell_angle_beta 90.00
_cell_angle_gamma 90.00
loop_
_atom_site_label
_atom_site_type_symbol
_atom_site_fract_x
_atom_site_fract_y
_atom_site_fract_z
K1 K 0.0000 0.0000 0.0000
Nb1 Nb 0.2500 0.2500 0.7500
Al1 Al 0.0000 0.0000 0.5000
O1 O 0.1199 0.1199 0.6199
```

Top 12 peaks for 5° ≤ 2θ ≤ 70°, low angle first:
d = 4.910 Å, 2θ 18.1, I 100, hkl 1 1 1
d = 3.006 Å, 2θ 29.7, I 81, hkl 2 2 0
d = 2.564 Å, 2θ 35.0, I 25, hkl 3 1 1
d = 2.455 Å, 2θ 36.6, I 6, hkl 2 2 2
d = 2.126 Å, 2θ 42.5, I 5, hkl 4 0 0
d = 1.951 Å, 2θ 46.6, I 25, hkl 3 3 1
d = 1.901 Å, 2θ 47.8, I 2, hkl 4 2 0
d = 1.736 Å, 2θ 52.7, I 30, hkl 4 2 2
d = 1.637 Å, 2θ 56.2, I 9, hkl 5 1 1
d = 1.503 Å, 2θ 61.7, I 16, hkl 4 4 0
d = 1.437 Å, 2θ 64.9, I 15, hkl 5 3 1
d = 1.345 Å, 2θ 70.0, I 12, hkl 6 2 0

=====

(3)
Starting from a cell relaxed with PBE, the X-ray powder pattern of K2NdAlSe4 was simulated for Cu Kα.
Kinematic intensities with the Lorentz-polarization factor, no thermal factor.

Cell and atoms:
```
data_K2NdAlSe4
_space_group_name_H-M_alt 'I m m a'
_space_group_IT_number 74
_space_group_name_Hall '-I 2b 2'
_cell_length_a 8.2718
_cell_length_b 8.8580
_cell_length_c 12.2069
_cell_angle_alpha 90.00
_cell_angle_beta 90.00
_cell_angle_gamma 90.00
loop_
_atom_site_label
_atom_site_type_symbol
_atom_site_fract_x
_atom_site_fract_y
_atom_site_fract_z
K1 K 0.0000 0.0000 0.0000
K2 K 0.2500 0.2500 0.2500
Nd1 Nd 0.0000 0.0000 0.5000
Al1 Al 0.2500 0.2500 0.7500
Se1 Se 0.0000 0.0520 0.7441
Se2 Se 0.2354 0.2500 0.5254
```

Top 12 peaks for 5° ≤ 2θ ≤ 70°, low angle first:
d = 7.169 Å, 2θ 12.3, I 11, hkl 0 1 1
d = 6.848 Å, 2θ 12.9, I 35, hkl 1 0 1
d = 3.052 Å, 2θ 29.3, I 52, hkl 0 0 4
d = 3.023 Å, 2θ 29.6, I 100, hkl 2 2 0
d = 2.356 Å, 2θ 38.2, I 11, hkl 0 1 5
d = 2.215 Å, 2θ 40.7, I 15, hkl 0 4 0
d = 2.148 Å, 2θ 42.1, I 66, hkl 2 2 4
d = 2.068 Å, 2θ 43.8, I 22, hkl 4 0 0
d = 1.792 Å, 2θ 51.0, I 13, hkl 0 4 4
d = 1.712 Å, 2θ 53.5, I 25, hkl 4 0 4
d = 1.512 Å, 2θ 61.3, I 13, hkl 4 4 0
d = 1.355 Å, 2θ 69.4, I 16, hkl 4 4 4

=====

(4)
Starting from a cell relaxed with PBE, the X-ray powder pattern of KNpAl2O6 was simulated for Cu Kα.
Kinematic intensities with the Lorentz-polarization factor, no thermal factor.

Cell and atoms:
```
data_KNpAl2O6
_space_group_name_H-M_alt 'C 1 2/c 1'
_space_group_IT_number 15
_cell_length_a 10.7213
_cell_length_b 10.3031
_cell_length_c 5.9678
_cell_angle_alpha 90.00
_cell_angle_beta 108.21
_cell_angle_gamma 90.00
loop_
_space_group_symop_operation_xyz
'x,y,z'
'-x,-y,-z'
'-x,y,-z+1/2'
'x,-y,z+1/2'
'x+1/2,y+1/2,z'
'-x+1/2,-y+1/2,-z'
'-x+1/2,y+1/2,-z+1/2'
'x+1/2,-y+1/2,z+1/2'
loop_
_atom_site_label
_atom_site_type_symbol
_atom_site_fract_x
_atom_site_fract_y
_atom_site_fract_z
K1 K 0.0000 0.0870 0.2500
Np1 Np 0.0000 0.2909 0.7500
Al1 Al 0.2089 0.4210 0.1616
O1 O 0.0860 0.2949 0.0970
O2 O 0.1320 0.1404 0.7124
O3 O 0.1703 0.4635 0.8520
```

Top 12 peaks for 5° ≤ 2θ ≤ 70°, low angle first:
d = 5.152 Å, 2θ 17.2, I 24, hkl 0 2 0
d = 5.092 Å, 2θ 17.4, I 46, hkl 2 0 0
d = 5.041 Å, 2θ 17.6, I 100, hkl 1 1 -1
d = 4.049 Å, 2θ 22.0, I 34, hkl 1 1 1
d = 3.622 Å, 2θ 24.6, I 51, hkl 2 2 0
d = 3.416 Å, 2θ 26.1, I 37, hkl 2 2 -1
d = 3.250 Å, 2θ 27.4, I 42, hkl 3 1 -1
d = 2.835 Å, 2θ 31.6, I 25, hkl 0 0 2
d = 2.708 Å, 2θ 33.1, I 19, hkl 1 3 1
d = 2.424 Å, 2θ 37.1, I 18, hkl 3 3 -1
d = 2.282 Å, 2θ 39.5, I 15, hkl 4 0 -2
d = 2.020 Å, 2θ 44.9, I 15, hkl 1 5 0

=====

- Which formula does entry 4 have?
  KNpAl2O6